(1)
This entry pairs a crystal structure of TbZrZn17 with its calculated X-ray powder pattern. Radiation: Cu Kα (λ = 1.5418 Å). Structure: a structure optimized by DFT (PBE).
Kinematic intensities with the Lorentz-polarization factor, no thermal factor.

Crystal structure
a = 6.7327 Å, b = 6.7327 Å, c = 6.7327 Å
α = 82.70°, β = 82.70°, γ = 82.70°
Fractional positions:
Tb: 0.0000 0.0000 0.0000
Zr: 0.3331 0.3331 0.3331
Zn: 0.0242 0.0242 0.4900
Zn: 0.0242 0.4900 0.0242
Zn: 0.1581 0.6712 0.6712
Zn: 0.3150 0.3150 0.8146
Zn: 0.3150 0.8146 0.3150
Zn: 0.3665 0.6624 0.9662
Zn: 0.3665 0.9662 0.6624
Zn: 0.4900 0.0242 0.0242
Zn: 0.5603 0.5603 0.5603
Zn: 0.6624 0.3665 0.9662
Zn: 0.6624 0.9662 0.3665
Zn: 0.6712 0.1581 0.6712
Zn: 0.6712 0.6712 0.1581
Zn: 0.7605 0.7605 0.7605
Zn: 0.8146 0.3150 0.3150
Zn: 0.9662 0.3665 0.6624
Zn: 0.9662 0.6624 0.3665

Top 12 peaks for 2θ from 5° to 70°, low angle first:
two_theta  intensity
28.69  17.6
33.70  10.6
34.94  37.6
36.06  24.0
40.56  56.0
40.80  100.0
41.51  43.7
41.79  22.8
45.82  38.9
58.89  7.9
59.43  17.8
66.63  15.6

---

(2)
This entry pairs a crystal structure of Tb8Zr with its calculated X-ray powder pattern. Radiation: Cu Kα (λ = 1.5418 Å). Structure: a structure optimized by DFT (PBE).
Kinematic intensities with the Lorentz-polarization factor, no thermal factor.

Crystal structure
a = 8.9983 Å, b = 8.9983 Å, c = 8.9983 Å
α = 92.27°, β = 92.27°, γ = 157.02°
Fractional positions:
Tb: 0.0000 0.3334 0.3334
Tb: 0.0000 0.6666 0.6666
Tb: 0.3334 0.0000 0.3334
Tb: 0.3422 0.3422 0.6844
Tb: 0.3422 0.6578 0.0000
Tb: 0.6578 0.3422 0.0000
Tb: 0.6578 0.6578 0.3156
Tb: 0.6666 0.0000 0.6666
Zr: 0.0000 0.0000 0.0000

Top 12 peaks for 2θ from 5° to 70°, low angle first:
two_theta  intensity
20.14  1.3
22.55  1.1
28.63  1.2
30.41  61.2
33.00  100.0
43.54  22.4
44.24  1.7
50.96  7.5
55.70  42.9
60.50  17.3
63.28  7.0
69.22  11.3

---

(3)
This entry pairs a crystal structure of Tc4Te with its calculated X-ray powder pattern. Radiation: Cu Kα (λ = 1.5418 Å). Structure: a structure optimized by DFT (PBE).
Kinematic intensities with the Lorentz-polarization factor, no thermal factor.

Crystal structure
a = 5.8284 Å, b = 5.8284 Å, c = 5.8284 Å
α = 90.00°, β = 90.00°, γ = 90.00°
Fractional positions:
Tc: 0.2500 0.2500 0.2500
Tc: 0.2500 0.2500 0.7500
Tc: 0.2500 0.7500 0.2500
Tc: 0.2500 0.7500 0.7500
Tc: 0.7500 0.2500 0.2500
Tc: 0.7500 0.2500 0.7500
Tc: 0.7500 0.7500 0.2500
Tc: 0.7500 0.7500 0.7500
Te: 0.0000 0.0000 0.0000
Te: 0.5000 0.5000 0.5000

Top 9 peaks for 2θ from 5° to 70°, low angle first:
two_theta  intensity
21.56  36.6
30.68  38.5
37.81  17.0
43.94  100.0
49.45  7.8
54.54  9.7
59.33  9.0
63.89  16.0
68.27  4.4

---

(4)
This entry pairs a crystal structure of Tc2Te3 with its calculated X-ray powder pattern. Radiation: Cu Kα (λ = 1.5418 Å). Structure: a structure optimized by DFT (PBE).
Kinematic intensities with the Lorentz-polarization factor, no thermal factor.

Crystal structure
a = 3.3987 Å, b = 3.3987 Å, c = 35.6300 Å
α = 90.00°, β = 90.00°, γ = 120.00°
Fractional positions:
Tc: 0.0000 0.0000 0.1079
Tc: 0.0000 0.0000 0.8921
Tc: 0.3333 0.6667 0.5588
Tc: 0.3333 0.6667 0.7746
Tc: 0.6667 0.3333 0.2254
Tc: 0.6667 0.3333 0.4412
Te: 0.0000 0.0000 0.2750
Te: 0.0000 0.0000 0.5000
Te: 0.0000 0.0000 0.7250
Te: 0.3333 0.6667 0.1667
Te: 0.3333 0.6667 0.3917
Te: 0.3333 0.6667 0.9416
Te: 0.6667 0.3333 0.0584
Te: 0.6667 0.3333 0.6083
Te: 0.6667 0.3333 0.8333

Top 12 peaks for 2θ from 5° to 70°, low angle first:
two_theta  intensity
7.44  44.0
14.92  19.7
22.46  10.3
32.02  8.7
32.92  100.0
36.59  33.9
39.72  21.9
45.21  43.6
45.84  16.1
53.96  32.8
64.67  13.8
68.44  9.0